Entry 1:
Starting from a PBE-relaxed structure, the powder diffractogram of RbAlSe2O8 was simulated for Cu Kα X-rays.

Cell and atoms:
abc: 5.0935 5.0935 8.9144
angles: 90.00 90.00 120.00
Space group P321 (No. 150)
Asymmetric unit:
Rb1 0.0000 0.0000 0.0000 (multiplicity 1)
Al1 0.0000 0.0000 0.5000 (multiplicity 1)
Se1 0.3333 0.6667 0.6979 (multiplicity 2)
O1 0.0750 0.3196 0.6392 (multiplicity 6)
O2 0.3333 0.6667 0.8825 (multiplicity 2)

Most intense lines, 2θ = 10–90°, by angle:
| h k l | Position (°2θ) | I (rel.) |
| --- | --- | --- |
| 1 0 1 | 22.49 | 100 |
| 0 1 2 | 28.47 | 61 |
| 0 0 3 | 30.07 | 17 |
| 1 1 0 | 35.24 | 37 |
| 0 2 1 | 42.21 | 12 |
| 1 0 4 | 45.61 | 14 |
| 2 0 2 | 45.91 | 15 |
| 1 1 3 | 46.99 | 10 |
| 2 1 1 | 56.12 | 16 |
| 1 2 2 | 59.17 | 16 |

Entry 2:
Starting from a PBE-relaxed structure, the powder diffractogram of Na6NbIn3Si2P4O24 was simulated for Cu Kα X-rays.

Cell and atoms:
abc: 9.1328 9.1368 9.1550
angles: 119.90 90.04 119.95
Space group P1 (No. 1)
Asymmetric unit:
Na1 0.0000 0.0000 0.0000 (multiplicity 1)
Na2 0.0885 0.5064 0.2498 (multiplicity 1)
Na3 0.1995 0.9860 0.4861 (multiplicity 1)
Na4 0.4672 0.6159 0.4457 (multiplicity 1)
Na5 0.5865 0.4959 0.7397 (multiplicity 1)
Na6 0.7015 0.3791 0.0242 (multiplicity 1)
Nb1 0.9452 0.2031 0.7922 (multiplicity 1)
In1 0.2347 0.7901 0.6842 (multiplicity 1)
In2 0.4456 0.2011 0.2958 (multiplicity 1)
In3 0.7315 0.7942 0.1789 (multiplicity 1)
Si1 0.3372 0.2943 0.9822 (multiplicity 1)
Si2 0.8341 0.6908 0.4824 (multiplicity 1)
P1 0.0459 0.7009 0.9971 (multiplicity 1)
P2 0.1308 0.2872 0.4781 (multiplicity 1)
P3 0.5444 0.0011 0.4894 (multiplicity 1)
P4 0.6380 0.9941 0.9760 (multiplicity 1)
O1 0.0062 0.5011 0.9745 (multiplicity 1)
O2 0.0089 0.6855 0.4909 (multiplicity 1)
O3 0.0610 0.2782 0.6348 (multiplicity 1)
O4 0.0909 0.7083 0.8394 (multiplicity 1)
O5 0.1583 0.3047 0.9622 (multiplicity 1)
O6 0.1738 0.4794 0.4896 (multiplicity 1)
O7 0.1990 0.8897 0.1774 (multiplicity 1)
O8 0.2903 0.0832 0.8019 (multiplicity 1)
O9 0.3016 0.2920 0.4997 (multiplicity 1)
O10 0.3497 0.2890 0.1592 (multiplicity 1)
O11 0.3701 0.8349 0.4899 (multiplicity 1)
O12 0.4836 0.8544 0.8005 (multiplicity 1)
O13 0.5083 0.4841 0.9899 (multiplicity 1)
O14 0.5168 0.1573 0.4949 (multiplicity 1)
O15 0.5787 0.8824 0.3210 (multiplicity 1)
O16 0.6061 0.1312 0.1386 (multiplicity 1)
O17 0.6577 0.5240 0.4957 (multiplicity 1)
O18 0.6900 0.8648 0.9924 (multiplicity 1)
O19 0.7057 0.1216 0.6597 (multiplicity 1)
O20 0.7886 0.6810 0.3053 (multiplicity 1)
O21 0.8138 0.1597 0.9674 (multiplicity 1)
O22 0.8683 0.6852 0.9938 (multiplicity 1)
O23 0.8865 0.9286 0.6543 (multiplicity 1)
O24 0.9841 0.0928 0.2988 (multiplicity 1)

Most intense lines, 2θ = 10–90°, by angle:
| h k l | Position (°2θ) | I (rel.) |
| --- | --- | --- |
| 1 0 1 | 19.41 | 100 |
| 1 -2 0 | 22.81 | 20 |
| 2 0 -2 | 27.58 | 25 |
| 1 1 -3 | 30.89 | 62 |
| 0 3 -2 | 33.96 | 23 |
| 0 3 -2 | 33.99 | 31 |
| 2 1 -4 | 44.27 | 15 |
| 2 2 -4 | 46.54 | 18 |
| 4 1 -2 | 53.02 | 20 |
| 4 1 -4 | 58.88 | 20 |